Simulated powder XRD pattern of Nb4Ni5Ge5 for Cu Ka, from the PBE geometry in OQMD.
Kinematic intensities with the Lorentz-polarization factor, no thermal factor.

Cell and atoms:
```
Nb4Ni5Ge5
1.0
-4.512 4.512 2.861
4.512 -4.512 2.861
4.512 4.512 -2.861
Nb Ni Ge
4 5 5
Direct
0.100 0.702 0.802 Nb
0.298 0.101 0.399 Nb
0.702 0.900 0.601 Nb
0.899 0.298 0.198 Nb
0.035 0.344 0.896 Ni
0.250 0.750 0.500 Ni
0.448 0.140 0.104 Ni
0.656 0.552 0.691 Ni
0.860 0.965 0.309 Ni
0.000 0.000 0.000 Ge
0.212 0.407 0.616 Ge
0.404 0.788 0.194 Ge
0.593 0.209 0.806 Ge
0.791 0.596 0.384 Ge
```

Peak list (12 most intense, 10° ≤ 2θ ≤ 80°, low angle first)
- 13.88 deg, intensity 4
- 18.36 deg, intensity 5
- 27.04 deg, intensity 27
- 31.32 deg, intensity 23
- 44.88 deg, intensity 100
- 53.10 deg, intensity 4
- 53.21 deg, intensity 7
- 55.74 deg, intensity 6
- 65.21 deg, intensity 5
- 65.41 deg, intensity 10
- 72.07 deg, intensity 4
- 74.30 deg, intensity 5

Simulated powder XRD pattern of Ag2SnO2 for Cu Ka, from the PBE geometry in OQMD.
Kinematic intensities with the Lorentz-polarization factor, no thermal factor.

Cell and atoms:
```
Ag2SnO2
1.0
5.896 0.000 0.000
0.000 5.896 0.000
0.000 0.000 9.049
Ag Sn O
8 4 8
Direct
0.018 0.238 0.129 Ag
0.238 0.018 0.871 Ag
0.262 0.518 0.879 Ag
0.482 0.738 0.621 Ag
0.518 0.262 0.121 Ag
0.738 0.482 0.379 Ag
0.762 0.982 0.371 Ag
0.982 0.762 0.629 Ag
0.211 0.211 0.500 Sn
0.289 0.711 0.250 Sn
0.711 0.289 0.750 Sn
0.789 0.789 0.000 Sn
0.073 0.284 0.735 O
0.216 0.573 0.485 O
0.284 0.073 0.265 O
0.427 0.784 0.015 O
0.573 0.216 0.515 O
0.716 0.927 0.765 O
0.784 0.427 0.985 O
0.927 0.716 0.235 O
```

Peak list (12 most intense, 10° ≤ 2θ ≤ 80°, low angle first)
- 29.13 deg, intensity 27
- 30.32 deg, intensity 17
- 33.37 deg, intensity 79
- 34.00 deg, intensity 16
- 35.46 deg, intensity 100
- 36.37 deg, intensity 80
- 52.92 deg, intensity 22
- 55.83 deg, intensity 16
- 57.25 deg, intensity 24
- 60.38 deg, intensity 31
- 63.07 deg, intensity 12
- 75.05 deg, intensity 16

Simulated powder XRD pattern of Dy2Y3Hg3 for Cu Ka, from the PBE geometry in OQMD.
Kinematic intensities with the Lorentz-polarization factor, no thermal factor.

Cell and atoms:
```
Dy2Y3Hg3
1.0
5.589 0.000 0.000
0.000 7.572 0.000
0.000 0.000 10.390
Dy Y Hg
4 6 6
Direct
0.000 0.000 0.000 Dy
0.000 0.500 0.500 Dy
0.500 0.000 0.363 Dy
0.500 0.500 0.863 Dy
0.000 0.243 0.743 Y
0.000 0.257 0.243 Y
0.000 0.743 0.243 Y
0.000 0.757 0.743 Y
0.500 0.000 0.798 Y
0.500 0.500 0.298 Y
0.000 0.000 0.495 Hg
0.000 0.500 0.995 Hg
0.500 0.203 0.081 Hg
0.500 0.297 0.581 Hg
0.500 0.703 0.581 Hg
0.500 0.797 0.081 Hg
```

Peak list (12 most intense, 10° ≤ 2θ ≤ 80°, low angle first)
- 17.07 deg, intensity 14
- 29.19 deg, intensity 27
- 32.03 deg, intensity 45
- 33.39 deg, intensity 100
- 38.21 deg, intensity 39
- 43.88 deg, intensity 18
- 57.96 deg, intensity 21
- 58.62 deg, intensity 10
- 58.93 deg, intensity 10
- 61.22 deg, intensity 10
- 63.00 deg, intensity 11
- 68.38 deg, intensity 13

Simulated powder XRD pattern of Cu2Ag5 for Cu Ka, from the PBE geometry in OQMD.
Kinematic intensities with the Lorentz-polarization factor, no thermal factor.

Cell and atoms:
```
Cu2Ag5
1.0
2.872 0.000 0.000
0.000 3.922 0.000
0.000 0.000 20.187
Cu Ag
4 10
Direct
0.000 0.000 0.144 Cu
0.000 0.000 0.856 Cu
0.500 0.500 0.356 Cu
0.500 0.500 0.644 Cu
0.000 0.000 0.000 Ag
0.000 0.000 0.287 Ag
0.000 0.000 0.424 Ag
0.000 0.000 0.576 Ag
0.000 0.000 0.713 Ag
0.500 0.500 0.076 Ag
0.500 0.500 0.213 Ag
0.500 0.500 0.500 Ag
0.500 0.500 0.787 Ag
0.500 0.500 0.924 Ag
```

Peak list (12 most intense, 10° ≤ 2θ ≤ 80°, low angle first)
- 23.10 deg, intensity 2
- 26.30 deg, intensity 6
- 33.93 deg, intensity 3
- 38.76 deg, intensity 100
- 38.86 deg, intensity 100
- 44.52 deg, intensity 66
- 46.30 deg, intensity 30
- 64.64 deg, intensity 10
- 64.93 deg, intensity 10
- 66.18 deg, intensity 38
- 78.05 deg, intensity 22
- 78.26 deg, intensity 23

Simulated powder XRD pattern of NdHoInCo2 for Cu Ka, from the PBE geometry in OQMD.
Kinematic intensities with the Lorentz-polarization factor, no thermal factor.

Cell and atoms:
```
NdHoInCo2
1.0
3.965 0.000 0.000
0.000 3.860 0.000
0.000 0.000 13.884
Nd Ho In Co
2 2 2 4
Direct
0.000 0.000 0.000 Nd
0.000 0.500 0.500 Nd
0.000 0.000 0.278 Ho
0.000 0.500 0.778 Ho
0.500 0.000 0.642 In
0.500 0.500 0.142 In
0.500 0.000 0.428 Co
0.500 0.000 0.842 Co
0.500 0.500 0.342 Co
0.500 0.500 0.928 Co
```

Peak list (12 most intense, 10° ≤ 2θ ≤ 80°, low angle first)
- 30.15 deg, intensity 45
- 33.02 deg, intensity 100
- 34.34 deg, intensity 80
- 37.90 deg, intensity 33
- 40.00 deg, intensity 29
- 45.77 deg, intensity 25
- 47.08 deg, intensity 23
- 55.78 deg, intensity 16
- 57.15 deg, intensity 16
- 59.56 deg, intensity 32
- 62.38 deg, intensity 15
- 67.76 deg, intensity 15

Simulated powder XRD pattern of ZnCu2SnS4 for Cu Ka, from the PBE geometry in OQMD.
Kinematic intensities with the Lorentz-polarization factor, no thermal factor.

Cell and atoms:
```
ZnCu2SnS4
1.0
5.441 0.000 0.000
0.000 5.441 0.000
0.000 0.000 5.461
Zn Cu Sn S
1 2 1 4
Direct
0.000 0.000 0.000 Zn
0.000 0.500 0.500 Cu
0.500 0.000 0.500 Cu
0.500 0.500 0.000 Sn
0.242 0.242 0.733 S
0.242 0.758 0.267 S
0.758 0.242 0.267 S
0.758 0.758 0.733 S
```

Peak list (12 most intense, 10° ≤ 2θ ≤ 80°, low angle first)
- 23.09 deg, intensity 5
- 28.37 deg, intensity 100
- 32.80 deg, intensity 5
- 32.92 deg, intensity 11
- 47.19 deg, intensity 59
- 55.87 deg, intensity 14
- 56.03 deg, intensity 28
- 58.71 deg, intensity 4
- 69.04 deg, intensity 6
- 76.12 deg, intensity 11
- 76.26 deg, intensity 5
- 78.60 deg, intensity 4